Simulated XRD peak list of SrCaVP2O8 for Cu Kα, 1.54184 Å, from a structure optimized by DFT (PBE+U).
Lines closer than 0.1° are merged.

Atomic structure:
Lattice parameters (Å, degrees): 5.754 6.950 9.612 109.53 101.24 98.54
Sites, in units of the cell vectors:
Sr: 0.233 0.195 0.441
Sr: 0.767 0.805 0.559
Ca: 0.487 0.574 0.834
Ca: 0.513 0.426 0.166
V: 0.152 0.848 0.062
V: 0.848 0.152 0.938
P: 0.121 0.587 0.281
P: 0.337 0.033 0.800
P: 0.663 0.967 0.200
P: 0.879 0.413 0.719
O: 0.093 0.422 0.117
O: 0.108 0.453 0.662
O: 0.132 0.969 0.873
O: 0.170 0.808 0.274
O: 0.229 0.014 0.637
O: 0.351 0.558 0.383
O: 0.472 0.107 0.198
O: 0.491 0.261 0.909
O: 0.509 0.739 0.091
O: 0.528 0.893 0.802
O: 0.649 0.442 0.617
O: 0.771 0.986 0.363
O: 0.830 0.192 0.726
O: 0.868 0.031 0.127
O: 0.892 0.547 0.338
O: 0.907 0.578 0.883

The 6 most intense peaks (10° ≤ 2θ ≤ 80°), in order of rising 2θ:
- 21.78°, I 27
- 27.79°, I 100
- 29.42°, I 55
- 30.73°, I 49
- 31.49°, I 41
- 32.82°, I 39